Computed PXRD pattern of Ta3PbS6 for Cu Kα, from a structure optimized by DFT (PBE).

Crystal structure
a b c (Å): 5.821 5.821 15.060
angles (deg): 90.00 90.00 120.00
Atoms (fractional coordinates):
Ta1 0.000 0.000 0.250
Ta2 0.000 0.000 0.750
Ta3 0.333 0.667 0.250
Ta4 0.333 0.667 0.750
Ta5 0.667 0.333 0.250
Ta6 0.667 0.333 0.750
Pb1 0.000 0.000 0.000
Pb2 0.000 0.000 0.500
S1 0.000 0.336 0.147
S2 0.000 0.336 0.353
S3 0.000 0.664 0.647
S4 0.000 0.664 0.853
S5 0.336 0.000 0.147
S6 0.336 0.000 0.353
S7 0.336 0.336 0.647
S8 0.336 0.336 0.853
S9 0.664 0.000 0.647
S10 0.664 0.000 0.853
S11 0.664 0.664 0.147
S12 0.664 0.664 0.353

Peak list (8 most intense, 2θ = 5–70°, most intense first)
Position (°2θ), intensity
39.12, 1000
11.75, 685
30.72, 572
21.21, 290
23.63, 279
54.61, 241
58.38, 228
17.59, 215


Computed PXRD pattern of ZrTl2PbS4 for Cu Kα, from a structure optimized by DFT (PBE).

Crystal structure
a b c (Å): 8.856 8.856 6.882
angles (deg): 106.64 106.64 55.95
Atoms (fractional coordinates):
Zr1 0.123 0.877 0.750
Zr2 0.877 0.123 0.250
Tl1 0.125 0.376 0.766
Tl2 0.376 0.125 0.266
Tl3 0.624 0.875 0.734
Tl4 0.875 0.624 0.234
Pb1 0.375 0.625 0.250
Pb2 0.625 0.375 0.750
S1 0.007 0.800 0.998
S2 0.200 0.993 0.502
S3 0.233 0.555 0.537
S4 0.445 0.767 0.963
S5 0.555 0.233 0.037
S6 0.767 0.445 0.463
S7 0.800 0.007 0.498
S8 0.993 0.200 0.002

Peak list (8 most intense, 2θ = 5–70°, most intense first)
Position (°2θ), intensity
30.09, 1000
26.18, 475
24.06, 299
40.92, 268
45.17, 209
27.40, 200
42.53, 120
53.88, 119


Computed PXRD pattern of Tm2PbS4 for Cu Kα, from a structure optimized by DFT (PBE).

Crystal structure
a b c (Å): 10.260 13.377 11.720
angles (deg): 90.00 113.03 90.00
Atoms (fractional coordinates):
Tm1 0.036 0.000 0.157
Tm2 0.074 0.177 0.457
Tm3 0.178 0.899 0.484
Tm4 0.192 0.092 0.860
Tm5 0.210 0.534 0.403
Tm6 0.313 0.642 0.117
Tm7 0.320 0.508 0.822
Tm8 0.447 0.201 0.419
Tm9 0.553 0.701 0.581
Tm10 0.680 0.008 0.178
Tm11 0.687 0.142 0.883
Tm12 0.790 0.034 0.597
Tm13 0.808 0.592 0.140
Tm14 0.822 0.399 0.516
Tm15 0.926 0.677 0.543
Tm16 0.964 0.500 0.843
Pb1 0.068 0.337 0.166
Pb2 0.107 0.304 0.712
Pb3 0.448 0.893 0.337
Pb4 0.498 0.329 0.075
Pb5 0.502 0.829 0.925
Pb6 0.552 0.393 0.663
Pb7 0.893 0.804 0.288
Pb8 0.932 0.837 0.834
S1 0.070 0.024 0.612
S2 0.078 0.561 0.164
S3 0.109 0.649 0.765
S4 0.133 0.165 0.050
S5 0.151 0.826 0.261
S6 0.232 0.460 0.003
S7 0.233 0.817 0.978
S8 0.237 0.063 0.384
S9 0.239 0.333 0.442
S10 0.242 0.959 0.062
S11 0.317 0.234 0.176
S12 0.375 0.575 0.631
S13 0.420 0.630 0.356
S14 0.422 0.854 0.630
S15 0.423 0.326 0.811
S16 0.485 0.100 0.976
S17 0.515 0.600 0.024
S18 0.577 0.826 0.189
S19 0.578 0.354 0.370
S20 0.580 0.130 0.644
S21 0.625 0.075 0.369
S22 0.683 0.734 0.824
S23 0.758 0.459 0.938
S24 0.761 0.833 0.558
S25 0.763 0.563 0.616
S26 0.767 0.317 0.022
S27 0.768 0.960 0.997
S28 0.849 0.326 0.739
S29 0.867 0.665 0.950
S30 0.891 0.149 0.235
S31 0.922 0.061 0.836
S32 0.930 0.524 0.388

Peak list (8 most intense, 2θ = 5–70°, most intense first)
Position (°2θ), intensity
25.93, 1000
21.85, 514
25.69, 488
28.05, 479
25.46, 432
33.93, 430
20.66, 419
29.84, 405


Computed PXRD pattern of Tm2PbS4 for Cu Kα, from a structure optimized by DFT (PBE).

Crystal structure
a b c (Å): 11.995 3.946 14.260
angles (deg): 90.00 90.00 90.00
Atoms (fractional coordinates):
Tm1 0.063 0.250 0.111
Tm2 0.082 0.250 0.599
Tm3 0.418 0.750 0.099
Tm4 0.437 0.750 0.611
Tm5 0.563 0.250 0.389
Tm6 0.582 0.250 0.901
Tm7 0.918 0.750 0.401
Tm8 0.937 0.750 0.889
Pb1 0.238 0.250 0.335
Pb2 0.262 0.750 0.835
Pb3 0.738 0.250 0.165
Pb4 0.762 0.750 0.665
S1 0.024 0.750 0.715
S2 0.086 0.250 0.924
S3 0.128 0.750 0.472
S4 0.207 0.750 0.169
S5 0.293 0.250 0.669
S6 0.372 0.250 0.972
S7 0.414 0.750 0.424
S8 0.476 0.250 0.215
S9 0.524 0.750 0.785
S10 0.586 0.250 0.576
S11 0.628 0.750 0.028
S12 0.707 0.750 0.331
S13 0.793 0.250 0.831
S14 0.872 0.250 0.528
S15 0.914 0.750 0.076
S16 0.976 0.250 0.285

Peak list (8 most intense, 2θ = 5–70°, most intense first)
Position (°2θ), intensity
25.54, 1000
26.87, 531
37.16, 529
30.37, 445
46.03, 421
24.98, 398
27.05, 311
53.35, 281


Computed PXRD pattern of Tm2PbS4 for Cu Kα, from a structure optimized by DFT (PBE).

Crystal structure
a b c (Å): 14.798 14.798 12.077
angles (deg): 90.00 90.00 149.10
Atoms (fractional coordinates):
Tm1 0.068 0.932 0.500
Tm2 0.070 0.430 0.875
Tm3 0.172 0.327 0.355
Tm4 0.175 0.825 0.018
Tm5 0.326 0.674 0.521
Tm6 0.327 0.172 0.855
Tm7 0.430 0.070 0.375
Tm8 0.431 0.569 0.008
Tm9 0.569 0.431 0.508
Tm10 0.570 0.930 0.875
Tm11 0.673 0.828 0.355
Tm12 0.674 0.326 0.021
Tm13 0.825 0.175 0.518
Tm14 0.828 0.673 0.855
Tm15 0.930 0.570 0.375
Tm16 0.932 0.068 0.000
Pb1 0.041 0.462 0.185
Pb2 0.047 0.953 0.152
Pb3 0.462 0.041 0.685
Pb4 0.462 0.538 0.708
Pb5 0.538 0.462 0.208
Pb6 0.538 0.959 0.185
Pb7 0.953 0.047 0.652
Pb8 0.959 0.538 0.685
S1 0.017 0.486 0.472
S2 0.020 0.980 0.922
S3 0.137 0.361 0.564
S4 0.140 0.860 0.811
S5 0.162 0.838 0.525
S6 0.166 0.340 0.856
S7 0.207 0.288 0.146
S8 0.209 0.791 0.233
S9 0.288 0.207 0.646
S10 0.292 0.708 0.734
S11 0.337 0.663 0.027
S12 0.340 0.166 0.356
S13 0.360 0.640 0.313
S14 0.361 0.137 0.064
S15 0.483 0.517 0.406
S16 0.486 0.017 0.972
S17 0.514 0.983 0.472
S18 0.517 0.483 0.906
S19 0.639 0.863 0.564
S20 0.640 0.360 0.813
S21 0.660 0.834 0.856
S22 0.663 0.337 0.527
S23 0.708 0.292 0.234
S24 0.712 0.793 0.146
S25 0.791 0.209 0.733
S26 0.793 0.712 0.646
S27 0.834 0.660 0.356
S28 0.838 0.162 0.025
S29 0.860 0.140 0.311
S30 0.863 0.639 0.064
S31 0.980 0.020 0.422
S32 0.983 0.514 0.972

Peak list (8 most intense, 2θ = 5–70°, most intense first)
Position (°2θ), intensity
25.41, 1000
26.88, 598
37.11, 530
30.37, 418
24.97, 379
53.32, 278
27.01, 269
46.05, 255


Computed PXRD pattern of ZrPbS3 for Cu Kα, from a structure optimized by DFT (PBE).

Crystal structure
a b c (Å): 9.225 3.817 14.171
angles (deg): 90.00 90.00 90.00
Atoms (fractional coordinates):
Zr1 0.166 0.250 0.049
Zr2 0.334 0.750 0.549
Zr3 0.666 0.250 0.451
Zr4 0.834 0.750 0.951
Pb1 0.023 0.250 0.673
Pb2 0.477 0.750 0.173
Pb3 0.523 0.250 0.827
Pb4 0.977 0.750 0.327
S1 0.009 0.250 0.895
S2 0.169 0.250 0.490
S3 0.227 0.750 0.714
S4 0.273 0.250 0.214
S5 0.331 0.750 0.990
S6 0.491 0.750 0.395
S7 0.509 0.250 0.605
S8 0.669 0.250 0.010
S9 0.727 0.750 0.786
S10 0.773 0.250 0.286
S11 0.831 0.750 0.510
S12 0.991 0.750 0.105

Peak list (8 most intense, 2θ = 5–70°, most intense first)
Position (°2θ), intensity
31.06, 1000
21.13, 899
28.27, 541
45.73, 467
39.61, 400
33.04, 322
35.93, 311
24.15, 301


Computed PXRD pattern of Sb2Te4Pb for Cu Kα, from a structure optimized by DFT (PBE).

Crystal structure
a b c (Å): 14.386 14.386 14.386
angles (deg): 17.67 17.67 17.67
Atoms (fractional coordinates):
Sb1 0.073 0.073 0.073
Sb2 0.927 0.927 0.927
Te1 0.214 0.214 0.214
Te2 0.368 0.368 0.368
Te3 0.632 0.632 0.632
Te4 0.786 0.786 0.786
Pb1 0.500 0.500 0.500

Peak list (8 most intense, 2θ = 5–70°, most intense first)
Position (°2θ), intensity
27.56, 1000
40.85, 368
37.85, 364
49.99, 194
66.46, 164
62.23, 129
6.24, 123
56.90, 111


Computed PXRD pattern of Sc2PbSe4 for Cu Kα, from a structure optimized by DFT (PBE).

Crystal structure
a b c (Å): 12.354 3.943 14.403
angles (deg): 90.00 90.00 90.00
Atoms (fractional coordinates):
Sc1 0.053 0.250 0.111
Sc2 0.083 0.250 0.594
Sc3 0.417 0.750 0.094
Sc4 0.447 0.750 0.611
Sc5 0.553 0.250 0.389
Sc6 0.583 0.250 0.906
Sc7 0.917 0.750 0.406
Sc8 0.947 0.750 0.889
Pb1 0.240 0.250 0.323
Pb2 0.260 0.750 0.823
Pb3 0.740 0.250 0.177
Pb4 0.760 0.750 0.677
Se1 0.034 0.750 0.715
Se2 0.092 0.250 0.928
Se3 0.123 0.750 0.469
Se4 0.202 0.750 0.157
Se5 0.298 0.250 0.657
Se6 0.377 0.250 0.969
Se7 0.408 0.750 0.428
Se8 0.466 0.250 0.215
Se9 0.534 0.750 0.785
Se10 0.592 0.250 0.572
Se11 0.623 0.750 0.031
Se12 0.702 0.750 0.343
Se13 0.798 0.250 0.843
Se14 0.877 0.250 0.531
Se15 0.908 0.750 0.072
Se16 0.966 0.250 0.285

Peak list (8 most intense, 2θ = 5–70°, most intense first)
Position (°2θ), intensity
30.21, 1000
32.04, 518
37.51, 415
31.52, 378
29.31, 322
14.24, 290
46.04, 289
36.69, 288